No. 1
Diffraction record for Na2OsO3. The powder X-ray diffraction pattern is simulated, not measured: it uses a DFT-relaxed cell (GGA-PBE, Alexandria) and Cu Kα, 1.54184 Å.
No peak broadening, texture or thermal motion is included.

Structure:
Cell: 4.3527 11.0589 15.2783 Å, 90.00 96.65 90.00°
Space group C2/c (No. 15)
Inequivalent atoms, fractional coordinates:
Na 0.0170 0.1437 0.0319 x8
Na 0.1156 0.4828 0.6522 x8
Os 0.1262 0.1927 0.6814 x8
O 0.0000 0.3388 0.7500 x4
O 0.0000 0.3521 0.2500 x4
O 0.0066 0.2887 0.5832 x8
O 0.1155 0.0535 0.6075 x8

Largest 12 diffraction maxima, sorted by position, 2θ from 10° to 80°:
two_theta, I_rel, index
11.66, 951, 0 0 2
16.03, 646, 0 2 0
17.07, 744, 0 2 1
19.87, 295, 0 2 2
23.46, 1000, 1 1 1
26.77, 236, 1 1 -3
29.81, 384, 1 1 3
31.90, 212, 1 3 0
32.93, 393, 0 4 1
34.93, 258, 1 3 2
35.05, 356, 1 1 -5
46.50, 228, 1 3 -6


No. 2
Diffraction record for Dy4SnS2N. The powder X-ray diffraction pattern is simulated, not measured: it uses a DFT-relaxed cell (GGA-PBE, Alexandria) and Cu Kα, 1.54184 Å.
No peak broadening, texture or thermal motion is included.

Structure:
Cell: 7.0794 7.0794 7.8761 Å, 90.00 90.00 90.00°
Space group I-42m (No. 121)
Inequivalent atoms, fractional coordinates:
Dy 0.1835 0.1835 0.3349 x8
Sn 0.0000 0.0000 0.0000 x2
S 0.0000 0.5000 0.2500 x4
N 0.0000 0.0000 0.5000 x2

Largest 12 diffraction maxima, sorted by position, 2θ from 10° to 80°:
two_theta, I_rel, index
17.72, 149, 1 1 0
28.85, 782, 1 1 2
30.43, 1000, 2 1 1
34.06, 160, 2 0 2
35.88, 217, 2 2 0
36.50, 235, 1 0 3
39.88, 238, 3 0 1
46.67, 218, 3 1 2
49.76, 148, 1 1 4
52.11, 155, 3 0 3
54.71, 290, 4 1 1
58.72, 238, 3 2 3